Theoretical powder diffractogram of Si for a wavelength of 1.5418 Å, from the PBE geometry in the Materials Project.
Lines closer than 0.1° are merged.

Atomic structure:
Cell: 3.8505 3.8505 6.3657 Å, 90.00 90.00 120.00°
Sites, in units of the cell vectors:
1 Si 0.3333 0.6667 0.0630
2 Si 0.3333 0.6667 0.4370
3 Si 0.6667 0.3333 0.5630
4 Si 0.6667 0.3333 0.9370

The 10 most intense peaks (10° ≤ 2θ ≤ 90°), in order of rising 2θ:
| 2θ/deg | I (rel.) | (hkl) |
| --- | --- | --- |
| 26.73 | 100 | 1 0 0 |
| 28.03 | 58 | 0 0 2 |
| 30.26 | 63 | 1 0 1 |
| 39.12 | 33 | 1 0 2 |
| 47.21 | 75 | 1 1 0 |
| 51.02 | 76 | 1 0 3 |
| 55.81 | 45 | 1 1 2 |
| 72.04 | 28 | 2 0 3 |
| 80.81 | 20 | 1 0 5 |
| 87.83 | 13 | 3 0 0 |